Structure and simulated powder diffraction line list of Li3B8C8 (a PBE-relaxed structure; Cu Kα).
No peak broadening, texture or thermal motion is included.

Most intense lines, 10° ≤ 2θ ≤ 80°, in order of rising 2θ:
2theta  I (rel.)
11.05  5.6
23.62  100.0
38.55  7.0
39.36  4.3
45.15  8.3
45.31  5.1
46.26  8.6
47.49  4.0
48.32  9.0
70.82  5.7

Atomic structure:
```
data_Li3B8C8
_cell_length_a 8.629
_cell_length_b 2.715
_cell_length_c 9.021
_cell_angle_alpha 90.00
_cell_angle_beta 117.45
_cell_angle_gamma 90.00
_space_group_name_H-M_alt 'P 1'
_space_group_IT_number 1
loop_
_space_group_symop_operation_xyz
'x,y,z'
loop_
_atom_site_label
_atom_site_fract_x
_atom_site_fract_y
_atom_site_fract_z
Li1 0.000 0.000 0.000
Li2 0.238 0.000 0.753
Li3 0.712 0.500 0.708
B1 0.023 0.500 0.787
B2 0.157 0.000 0.460
B3 0.287 0.000 0.040
B4 0.429 0.500 0.679
B5 0.509 0.500 0.304
B6 0.688 0.000 0.928
B7 0.788 0.000 0.520
B8 0.946 0.500 0.185
C1 0.020 0.000 0.268
C2 0.202 0.500 0.953
C3 0.234 0.500 0.540
C4 0.432 0.000 0.226
C5 0.521 0.000 0.756
C6 0.705 0.500 0.444
C7 0.780 0.500 0.011
C8 0.939 0.000 0.705
```



Structure and simulated powder diffraction line list of Ce2Co4B (a PBE-relaxed structure; Cu Kα).
No peak broadening, texture or thermal motion is included.

Most intense lines, 10° ≤ 2θ ≤ 80°, in order of rising 2θ:
2theta  I (rel.)
14.59  80.5
16.57  78.7
27.06  37.1
33.51  42.1
36.58  100.0
40.41  59.6
41.73  40.8
43.59  51.2
50.45  34.7
52.53  29.0

Atomic structure:
```
data_Ce2Co4B
_cell_length_a 6.496
_cell_length_b 6.496
_cell_length_c 3.295
_cell_angle_alpha 90.00
_cell_angle_beta 90.00
_cell_angle_gamma 110.87
_space_group_name_H-M_alt 'P 1'
_space_group_IT_number 1
loop_
_space_group_symop_operation_xyz
'x,y,z'
loop_
_atom_site_label
_atom_site_fract_x
_atom_site_fract_y
_atom_site_fract_z
Ce1 0.000 0.500 0.000
Ce2 0.500 0.000 0.000
Co1 0.161 0.161 0.000
Co2 0.177 0.823 0.500
Co3 0.823 0.177 0.500
Co4 0.839 0.839 0.000
B1 0.000 0.000 0.500
```



Structure and simulated powder diffraction line list of BaCaNpO6 (a PBE-relaxed structure; Cu Kα).
No peak broadening, texture or thermal motion is included.

Most intense lines, 10° ≤ 2θ ≤ 80°, in order of rising 2θ:
2theta  I (rel.)
16.38  16.2
19.15  67.7
23.90  100.0
30.18  48.3
30.29  18.2
38.86  25.8
45.41  52.9
49.97  26.4
53.63  25.3
64.49  17.1

Atomic structure:
```
data_BaCaNpO6
_cell_length_a 5.923
_cell_length_b 5.923
_cell_length_c 10.822
_cell_angle_alpha 90.00
_cell_angle_beta 90.00
_cell_angle_gamma 120.00
_space_group_name_H-M_alt 'P 1'
_space_group_IT_number 1
loop_
_space_group_symop_operation_xyz
'x,y,z'
loop_
_atom_site_label
_atom_site_fract_x
_atom_site_fract_y
_atom_site_fract_z
Ba1 0.000 0.000 0.000
Ba2 0.000 0.000 0.500
Ca1 0.333 0.667 0.250
Ca2 0.667 0.333 0.750
Np1 0.333 0.667 0.750
Np2 0.667 0.333 0.250
O1 0.043 0.393 0.648
O2 0.043 0.650 0.852
O3 0.350 0.393 0.852
O4 0.350 0.957 0.648
O5 0.393 0.043 0.148
O6 0.393 0.350 0.352
O7 0.607 0.650 0.648
O8 0.607 0.957 0.852
O9 0.650 0.043 0.352
O10 0.650 0.607 0.148
O11 0.957 0.350 0.148
O12 0.957 0.607 0.352
```



Structure and simulated powder diffraction line list of La3ErTm4 (a PBE-relaxed structure; Cu Kα).
No peak broadening, texture or thermal motion is included.

Most intense lines, 10° ≤ 2θ ≤ 80°, in order of rising 2θ:
2theta  I (rel.)
28.19  23.8
31.23  24.3
32.31  100.0
42.57  15.7
49.80  6.7
49.95  13.2
56.27  20.7
59.96  7.6
60.09  15.1
60.65  10.9

Atomic structure:
```
data_La3ErTm4
_cell_length_a 11.455
_cell_length_b 7.324
_cell_length_c 6.320
_cell_angle_alpha 90.00
_cell_angle_beta 90.00
_cell_angle_gamma 90.00
_space_group_name_H-M_alt 'P 1'
_space_group_IT_number 1
loop_
_space_group_symop_operation_xyz
'x,y,z'
loop_
_atom_site_label
_atom_site_fract_x
_atom_site_fract_y
_atom_site_fract_z
La1 0.000 0.125 0.000
La2 0.247 0.623 0.665
La3 0.253 0.377 0.165
La4 0.500 0.875 0.500
La5 0.747 0.377 0.165
La6 0.753 0.623 0.665
Er1 0.000 0.632 0.999
Er2 0.500 0.368 0.499
Tm1 0.000 0.374 0.497
Tm2 0.000 0.874 0.494
Tm3 0.249 0.122 0.661
Tm4 0.251 0.878 0.161
Tm5 0.500 0.126 0.994
Tm6 0.500 0.626 0.997
Tm7 0.749 0.878 0.161
Tm8 0.751 0.122 0.661
```